Diffraction record for Na3EuTi2Nb2O12. The powder diffractogram is simulated, not measured: it uses a cell relaxed with PBE and Cu Kα (weighted mean of Kα1 and Kα2).

Structural model:
```
data_Na3EuTi2Nb2O12
_symmetry_space_group_name_H-M 'P 1'
_symmetry_Int_Tables_number 1
_symmetry_space_group_name_Hall 'P 1'
_cell_length_a 5.5256
_cell_length_b 5.5872
_cell_length_c 7.8208
_cell_angle_alpha 89.99
_cell_angle_beta 89.90
_cell_angle_gamma 89.50
loop_
_atom_site_label
_atom_site_fract_x
_atom_site_fract_y
_atom_site_fract_z
Na1 0.0000 0.0000 0.0000
Na2 0.0009 0.9593 0.4976
Na3 0.5149 0.4908 0.9958
Eu1 0.5138 0.4538 0.4968
Ti1 0.0108 0.4759 0.7400
Ti2 0.4957 0.9775 0.2489
Nb1 0.0093 0.4832 0.2384
Nb2 0.5002 0.9786 0.7589
O1 0.0874 0.5314 0.5006
O2 0.2216 0.7935 0.7852
O3 0.2284 0.7963 0.2144
O4 0.3111 0.3031 0.7604
O5 0.3164 0.2995 0.2333
O6 0.4519 0.0112 0.4955
O7 0.5770 0.0084 0.0010
O8 0.7197 0.7128 0.2825
O9 0.7213 0.7081 0.7125
O10 0.8009 0.2238 0.2945
O11 0.8021 0.2271 0.7017
O12 0.9608 0.4754 0.9945
```

The 12 most intense peaks (10° ≤ 2θ ≤ 90°), sorted by position:
| h k l | Position (°2θ) | I (rel.) |
| --- | --- | --- |
| 0 0 1 | 11.31 | 31 |
| 0 1 0 | 15.86 | 17 |
| 1 0 0 | 16.04 | 16 |
| 0 1 1 | 19.53 | 32 |
| 1 0 1 | 19.67 | 29 |
| 0 2 0 | 32.04 | 38 |
| 1 1 2 | 32.23 | 71 |
| 2 0 0 | 32.38 | 100 |
| 2 2 0 | 46.00 | 24 |
| 0 0 4 | 46.44 | 51 |
| 3 1 2 | 57.55 | 24 |
| 3 -1 2 | 57.86 | 23 |